Starting from DFT lattice parameters and positions (GGA-PBE), the X-ray powder pattern of Ca4SnAs was computed for Cu Kα X-rays.
Neutral-atom scattering factors, no anomalous dispersion.

Top 6 peaks for 5° ≤ 2θ ≤ 70°, by angle:
2theta, I/Imax
21.12, 69.1
34.82, 100.0
41.08, 37.3
50.03, 11.5
54.92, 16.1
62.43, 34.2

Structural model:
Lattice parameters (Å, degrees): 5.156 5.156 7.278 90.00 90.00 90.00
Space group P4/mmm (No. 123)
Inequivalent atoms, fractional coordinates:
Ca  0.000  0.500  0.242 [4 per cell]
Sn  0.000  0.000  0.500 [1 per cell]
As  0.500  0.500  0.000 [1 per cell]



Starting from DFT lattice parameters and positions (GGA-PBE), the X-ray powder pattern of Zr4CuSb7 was computed for Cu Kα X-rays.
Neutral-atom scattering factors, no anomalous dispersion.

Top 6 peaks for 5° ≤ 2θ ≤ 70°, by angle:
2theta, I/Imax
30.28, 38.2
33.42, 100.0
37.94, 56.1
38.10, 62.2
45.57, 49.6
60.85, 31.7

Structural model:
Lattice parameters (Å, degrees): 11.260 11.260 8.804 90.00 90.00 90.00
Space group P4bm (No. 100)
Inequivalent atoms, fractional coordinates:
Zr  0.000  0.000  0.000 [2 per cell]
Zr  0.000  0.500  0.982 [2 per cell]
Zr  0.005  0.250  0.517 [8 per cell]
Zr  0.246  0.254  0.992 [4 per cell]
Cu  0.126  0.626  0.255 [4 per cell]
Sb  0.000  0.000  0.647 [2 per cell]
Sb  0.000  0.500  0.631 [2 per cell]
Sb  0.003  0.751  0.870 [8 per cell]
Sb  0.108  0.392  0.255 [4 per cell]
Sb  0.125  0.857  0.256 [8 per cell]
Sb  0.247  0.747  0.641 [4 per cell]



Starting from DFT lattice parameters and positions (GGA-PBE), the X-ray powder pattern of Pr4RhAu3 was computed for Cu Kα X-rays.
Neutral-atom scattering factors, no anomalous dispersion.

Top 6 peaks for 5° ≤ 2θ ≤ 70°, by angle:
2theta, I/Imax
30.48, 100.0
32.09, 27.7
37.37, 26.7
37.79, 35.2
38.24, 82.2
45.95, 20.3

Structural model:
Lattice parameters (Å, degrees): 3.950 4.762 11.155 90.00 90.00 90.00
Space group Pmm2 (No. 25)
Inequivalent atoms, fractional coordinates:
Pr  0.000  0.000  0.000 [1 per cell]
Pr  0.000  0.500  0.261 [1 per cell]
Pr  0.500  0.000  0.472 [1 per cell]
Pr  0.500  0.500  0.763 [1 per cell]
Rh  0.500  0.000  0.214 [1 per cell]
Au  0.000  0.000  0.711 [1 per cell]
Au  0.000  0.500  0.540 [1 per cell]
Au  0.500  0.500  0.042 [1 per cell]



Starting from DFT lattice parameters and positions (GGA-PBE), the X-ray powder pattern of Pb was computed for Cu Kα X-rays.
Neutral-atom scattering factors, no anomalous dispersion.

Top 6 peaks for 5° ≤ 2θ ≤ 70°, by angle:
2theta, I/Imax
26.72, 48.9
28.94, 100.0
30.46, 42.9
32.44, 53.2
36.91, 93.0
60.83, 36.4

Structural model:
Lattice parameters (Å, degrees): 12.342 12.342 3.466 90.00 90.00 90.00
Space group I4/m (No. 87)
Inequivalent atoms, fractional coordinates:
Pb  0.099  0.159  0.000 [8 per cell]
Pb  0.106  0.635  0.000 [8 per cell]